# 1
# Zn6InAg12
Theoretical powder diffraction line list, Cu Kα X-rays. Input: a structure optimized by DFT (GGA-PBE).
No peak broadening, texture or thermal motion is included.

Most intense lines, 15 to 90 degrees two-theta, in order of rising 2θ:
35.35 deg, 2.539 Å, intensity 38
38.29 deg, 2.351 Å, intensity 100
41.04 deg, 2.199 Å, intensity 25
43.66 deg, 2.073 Å, intensity 19
46.15 deg, 1.967 Å, intensity 15
61.46 deg, 1.509 Å, intensity 13
63.45 deg, 1.466 Å, intensity 10
65.40 deg, 1.427 Å, intensity 22
76.59 deg, 1.244 Å, intensity 11
87.27 deg, 1.117 Å, intensity 9

Atomic structure:
a b c (Å): 7.6179 7.6179 7.6179
angles (deg): 109.47 109.47 109.47
Fractional coordinates of all 19 atoms:
Zn: 0.1393 0.5000 0.6393
Zn: 0.3607 0.8607 0.5000
Zn: 0.5000 0.3607 0.8607
Zn: 0.5000 0.6393 0.1393
Zn: 0.6393 0.1393 0.5000
Zn: 0.8607 0.5000 0.3607
In: 0.0000 0.0000 0.0000
Ag: 0.0897 0.2722 0.8175
Ag: 0.1825 0.4546 0.2722
Ag: 0.1825 0.9103 0.7278
Ag: 0.2722 0.1825 0.4546
Ag: 0.2722 0.8175 0.0897
Ag: 0.4546 0.2722 0.1825
Ag: 0.5454 0.7278 0.8175
Ag: 0.7278 0.1825 0.9103
Ag: 0.7278 0.8175 0.5454
Ag: 0.8175 0.0897 0.2722
Ag: 0.8175 0.5454 0.7278
Ag: 0.9103 0.7278 0.1825

=====

# 2
# Li3Cu2Ge3
Theoretical powder diffraction line list, Cu Kα X-rays. Input: a structure optimized by DFT (GGA-PBE).
No peak broadening, texture or thermal motion is included.

Most intense lines, 15 to 90 degrees two-theta, in order of rising 2θ:
23.10 deg, 3.850 Å, intensity 52
24.14 deg, 3.686 Å, intensity 27
28.67 deg, 3.113 Å, intensity 81
42.25 deg, 2.139 Å, intensity 100
42.48 deg, 2.128 Å, intensity 25
42.58 deg, 2.123 Å, intensity 33
52.14 deg, 1.754 Å, intensity 30
54.71 deg, 1.678 Å, intensity 22
55.76 deg, 1.649 Å, intensity 20
77.71 deg, 1.229 Å, intensity 18

Atomic structure:
a b c (Å): 5.0350 5.0350 12.7692
angles (deg): 90.00 90.00 130.12
Fractional coordinates of all 16 atoms:
Li: 0.0853 0.9147 0.5974
Li: 0.0853 0.9147 0.9026
Li: 0.2949 0.7051 0.7500
Li: 0.7051 0.2949 0.2500
Li: 0.9147 0.0853 0.0974
Li: 0.9147 0.0853 0.4026
Cu: 0.2193 0.7807 0.1059
Cu: 0.2193 0.7807 0.3941
Cu: 0.7807 0.2193 0.6059
Cu: 0.7807 0.2193 0.8941
Ge: 0.3974 0.6026 0.5672
Ge: 0.3974 0.6026 0.9328
Ge: 0.4054 0.5946 0.2500
Ge: 0.5946 0.4054 0.7500
Ge: 0.6026 0.3974 0.0672
Ge: 0.6026 0.3974 0.4328

=====

# 3
# Ni3S
Theoretical powder diffraction line list, Cu Kα X-rays. Input: a structure optimized by DFT (GGA-PBE).
No peak broadening, texture or thermal motion is included.

Most intense lines, 15 to 90 degrees two-theta, in order of rising 2θ:
31.61 deg, 2.830 Å, intensity 20
41.04 deg, 2.199 Å, intensity 100
44.11 deg, 2.053 Å, intensity 33
45.03 deg, 2.013 Å, intensity 30
45.46 deg, 1.995 Å, intensity 41
45.57 deg, 1.991 Å, intensity 17
46.60 deg, 1.949 Å, intensity 18
46.86 deg, 1.939 Å, intensity 22
47.00 deg, 1.933 Å, intensity 38
51.40 deg, 1.778 Å, intensity 18

Atomic structure:
a b c (Å): 4.0163 4.2862 6.0978
angles (deg): 100.45 100.89 106.08
Fractional coordinates of all 8 atoms:
Ni: 0.0886 0.2932 0.1499
Ni: 0.2223 0.2543 0.7257
Ni: 0.3263 0.7154 0.5386
Ni: 0.6737 0.2846 0.4614
Ni: 0.7777 0.7457 0.2743
Ni: 0.9114 0.7068 0.8501
S: 0.2896 0.8629 0.1972
S: 0.7104 0.1371 0.8028

=====

# 4
# LiPm2TmTe5
Theoretical powder diffraction line list, Cu Kα X-rays. Input: a structure optimized by DFT (GGA-PBE).
No peak broadening, texture or thermal motion is included.

Most intense lines, 15 to 90 degrees two-theta, in order of rising 2θ:
24.89 deg, 3.578 Å, intensity 14
29.20 deg, 3.059 Å, intensity 100
29.53 deg, 3.025 Å, intensity 36
31.52 deg, 2.838 Å, intensity 13
34.40 deg, 2.607 Å, intensity 54
41.07 deg, 2.198 Å, intensity 12
41.27 deg, 2.187 Å, intensity 26
42.01 deg, 2.151 Å, intensity 14
51.56 deg, 1.773 Å, intensity 15
65.49 deg, 1.425 Å, intensity 13

Atomic structure:
a b c (Å): 9.5780 9.5780 13.1842
angles (deg): 90.00 90.00 153.60
Fractional coordinates of all 18 atoms:
Li: 0.0595 0.9405 0.5000
Li: 0.9405 0.0595 0.0000
Pm: 0.3731 0.6269 0.3381
Pm: 0.3943 0.6057 0.7224
Pm: 0.6057 0.3943 0.2224
Pm: 0.6269 0.3731 0.8381
Tm: 0.3025 0.6975 0.0465
Tm: 0.6975 0.3025 0.5465
Te: 0.0018 0.9982 0.8200
Te: 0.1395 0.8605 0.0352
Te: 0.1899 0.8101 0.3835
Te: 0.2179 0.7821 0.7040
Te: 0.4523 0.5477 0.1091
Te: 0.5477 0.4523 0.6091
Te: 0.7821 0.2179 0.2040
Te: 0.8101 0.1899 0.8835
Te: 0.8605 0.1395 0.5352
Te: 0.9982 0.0018 0.3200

=====

# 5
# Ag8Sb3Au4
Theoretical powder diffraction line list, Cu Kα X-rays. Input: a structure optimized by DFT (GGA-PBE).
No peak broadening, texture or thermal motion is included.

Most intense lines, 15 to 90 degrees two-theta, in order of rising 2θ:
22.91 deg, 3.882 Å, intensity 14
26.51 deg, 3.362 Å, intensity 10
34.66 deg, 2.588 Å, intensity 25
37.84 deg, 2.378 Å, intensity 100
44.69 deg, 2.028 Å, intensity 20
54.59 deg, 1.681 Å, intensity 10
61.69 deg, 1.504 Å, intensity 9
68.34 deg, 1.373 Å, intensity 23
80.86 deg, 1.189 Å, intensity 9
85.41 deg, 1.137 Å, intensity 10

Atomic structure:
a b c (Å): 9.5101 9.5101 9.5101
angles (deg): 60.00 60.00 60.00
Fractional coordinates of all 30 atoms:
Ag: 0.0035 0.3322 0.3322
Ag: 0.1201 0.1201 0.1201
Ag: 0.1201 0.1201 0.6397
Ag: 0.1201 0.6397 0.1201
Ag: 0.3322 0.0035 0.3322
Ag: 0.3322 0.3322 0.0035
Ag: 0.3322 0.3322 0.3322
Ag: 0.3603 0.8799 0.8799
Ag: 0.6397 0.1201 0.1201
Ag: 0.6678 0.6678 0.6678
Ag: 0.6678 0.6678 0.9965
Ag: 0.6678 0.9965 0.6678
Ag: 0.8799 0.3603 0.8799
Ag: 0.8799 0.8799 0.3603
Ag: 0.8799 0.8799 0.8799
Ag: 0.9965 0.6678 0.6678
Sb: 0.2818 0.2818 0.7182
Sb: 0.2818 0.7182 0.2818
Sb: 0.2818 0.7182 0.7182
Sb: 0.7182 0.2818 0.2818
Sb: 0.7182 0.2818 0.7182
Sb: 0.7182 0.7182 0.2818
Au: 0.0000 0.0000 0.0000
Au: 0.0000 0.0000 0.5000
Au: 0.0000 0.5000 0.0000
Au: 0.0000 0.5000 0.5000
Au: 0.5000 0.0000 0.0000
Au: 0.5000 0.0000 0.5000
Au: 0.5000 0.5000 0.0000
Au: 0.5000 0.5000 0.5000

=====

# 6
# SmEr6
Theoretical powder diffraction line list, Cu Kα X-rays. Input: a structure optimized by DFT (GGA-PBE).
No peak broadening, texture or thermal motion is included.

Most intense lines, 15 to 90 degrees two-theta, in order of rising 2θ:
28.80 deg, 3.100 Å, intensity 100
31.45 deg, 2.844 Å, intensity 79
32.02 deg, 2.795 Å, intensity 62
32.88 deg, 2.724 Å, intensity 32
35.13 deg, 2.554 Å, intensity 83
37.23 deg, 2.415 Å, intensity 28
39.41 deg, 2.286 Å, intensity 28
44.29 deg, 2.045 Å, intensity 24
56.25 deg, 1.635 Å, intensity 53
66.53 deg, 1.405 Å, intensity 28

Atomic structure:
a b c (Å): 6.4668 6.4668 10.8962
angles (deg): 90.00 90.00 90.00
Fractional coordinates of all 14 atoms:
Sm: 0.2500 0.7500 0.0000
Sm: 0.7500 0.2500 0.0000
Er: 0.0815 0.5815 0.3631
Er: 0.0815 0.9185 0.6369
Er: 0.2500 0.2500 0.1417
Er: 0.2500 0.2500 0.8583
Er: 0.4185 0.5815 0.6369
Er: 0.4185 0.9185 0.3631
Er: 0.5815 0.0815 0.6369
Er: 0.5815 0.4185 0.3631
Er: 0.7500 0.7500 0.1417
Er: 0.7500 0.7500 0.8583
Er: 0.9185 0.0815 0.3631
Er: 0.9185 0.4185 0.6369

=====

# 7
# LiSiBiO4
Theoretical powder diffraction line list, Cu Kα X-rays. Input: a structure optimized by DFT (GGA-PBE).
No peak broadening, texture or thermal motion is included.

Most intense lines, 15 to 90 degrees two-theta, in order of rising 2θ:
16.86 deg, 5.258 Å, intensity 100
21.66 deg, 4.102 Å, intensity 19
22.04 deg, 4.033 Å, intensity 50
22.73 deg, 3.913 Å, intensity 43
27.20 deg, 3.279 Å, intensity 18
28.59 deg, 3.122 Å, intensity 18
31.55 deg, 2.835 Å, intensity 19
32.24 deg, 2.776 Å, intensity 43
33.71 deg, 2.658 Å, intensity 18
47.32 deg, 1.921 Å, intensity 24

Atomic structure:
a b c (Å): 5.8389 6.5575 11.3599
angles (deg): 90.00 115.77 90.00
Fractional coordinates of all 28 atoms:
Li: 0.0964 0.1364 0.4460
Li: 0.0964 0.3636 0.9460
Li: 0.9036 0.6364 0.0540
Li: 0.9036 0.8636 0.5540
Si: 0.3052 0.6932 0.8615
Si: 0.3052 0.8068 0.3615
Si: 0.6948 0.1932 0.6385
Si: 0.6948 0.3068 0.1385
Bi: 0.4592 0.6726 0.6356
Bi: 0.4592 0.8274 0.1356
Bi: 0.5408 0.1726 0.8644
Bi: 0.5408 0.3274 0.3644
O: 0.1484 0.6859 0.9545
O: 0.1484 0.8141 0.4545
O: 0.1962 0.6728 0.2258
O: 0.1962 0.8272 0.7258
O: 0.3382 0.0361 0.3137
O: 0.3382 0.4639 0.8137
O: 0.4170 0.2020 0.0368
O: 0.4170 0.2980 0.5368
O: 0.5830 0.7020 0.4632
O: 0.5830 0.7980 0.9632
O: 0.6618 0.5361 0.1863
O: 0.6618 0.9639 0.6863
O: 0.8038 0.1728 0.2742
O: 0.8038 0.3272 0.7742
O: 0.8516 0.1859 0.5455
O: 0.8516 0.3141 0.0455

=====

# 8
# Ba3TlBi3
Theoretical powder diffraction line list, Cu Kα X-rays. Input: a structure optimized by DFT (GGA-PBE).
No peak broadening, texture or thermal motion is included.

Most intense lines, 15 to 90 degrees two-theta, in order of rising 2θ:
20.69 deg, 4.293 Å, intensity 26
23.65 deg, 3.762 Å, intensity 47
23.95 deg, 3.716 Å, intensity 73
24.20 deg, 3.678 Å, intensity 56
33.91 deg, 2.644 Å, intensity 89
34.09 deg, 2.630 Å, intensity 93
34.30 deg, 2.614 Å, intensity 100
42.09 deg, 2.147 Å, intensity 40
61.06 deg, 1.518 Å, intensity 30
61.42 deg, 1.510 Å, intensity 30

Atomic structure:
a b c (Å): 11.7672 11.7672 14.7109
angles (deg): 90.00 90.00 37.29
Fractional coordinates of all 28 atoms:
Ba: 0.0289 0.6207 0.1267
Ba: 0.1207 0.5289 0.6267
Ba: 0.1995 0.8005 0.8605
Ba: 0.3005 0.6995 0.3605
Ba: 0.3793 0.9711 0.1267
Ba: 0.4711 0.8793 0.6267
Ba: 0.5289 0.1207 0.3733
Ba: 0.6207 0.0289 0.8733
Ba: 0.6995 0.3005 0.6395
Ba: 0.8005 0.1995 0.1395
Ba: 0.8793 0.4711 0.3733
Ba: 0.9711 0.3793 0.8733
Tl: 0.0885 0.0885 0.5000
Tl: 0.4115 0.4115 0.0000
Tl: 0.5885 0.5885 0.0000
Tl: 0.9115 0.9115 0.5000
Bi: 0.0627 0.6103 0.3712
Bi: 0.1103 0.5627 0.8712
Bi: 0.2194 0.7806 0.6153
Bi: 0.2806 0.7194 0.1153
Bi: 0.3897 0.9373 0.3712
Bi: 0.4373 0.8897 0.8712
Bi: 0.5627 0.1103 0.1288
Bi: 0.6103 0.0627 0.6288
Bi: 0.7194 0.2806 0.8847
Bi: 0.7806 0.2194 0.3847
Bi: 0.8897 0.4373 0.1288
Bi: 0.9373 0.3897 0.6288

=====

# 9
# MnTc2Hg
Theoretical powder diffraction line list, Cu Kα X-rays. Input: a structure optimized by DFT (GGA-PBE).
No peak broadening, texture or thermal motion is included.

Most intense lines, 15 to 90 degrees two-theta, in order of rising 2θ:
24.11 deg, 3.692 Å, intensity 12
30.03 deg, 2.976 Å, intensity 10
32.44 deg, 2.760 Å, intensity 16
38.87 deg, 2.317 Å, intensity 100
42.99 deg, 2.104 Å, intensity 40
49.37 deg, 1.846 Å, intensity 10
62.42 deg, 1.488 Å, intensity 13
67.50 deg, 1.388 Å, intensity 16
76.02 deg, 1.252 Å, intensity 27
83.44 deg, 1.158 Å, intensity 9

Atomic structure:
a b c (Å): 2.9757 2.9757 7.3835
angles (deg): 90.00 90.00 90.00
Fractional coordinates of all 4 atoms:
Mn: 0.0000 0.0000 0.0000
Tc: 0.0000 0.0000 0.4372
Tc: 0.5000 0.5000 0.2377
Hg: 0.5000 0.5000 0.7301

=====

# 10
# Rb2CdAgH6
Theoretical powder diffraction line list, Cu Kα X-rays. Input: a structure optimized by DFT (GGA-PBE).
No peak broadening, texture or thermal motion is included.

Most intense lines, 15 to 90 degrees two-theta, in order of rising 2θ:
29.42 deg, 3.036 Å, intensity 100
30.93 deg, 2.891 Å, intensity 44
39.78 deg, 2.266 Å, intensity 11
44.31 deg, 2.044 Å, intensity 17
51.22 deg, 1.783 Å, intensity 20
54.08 deg, 1.696 Å, intensity 35
61.05 deg, 1.518 Å, intensity 12
65.92 deg, 1.417 Å, intensity 9
82.90 deg, 1.165 Å, intensity 10
86.71 deg, 1.123 Å, intensity 9

Atomic structure:
a b c (Å): 6.1038 6.1038 6.1038
angles (deg): 123.46 123.46 84.11
Fractional coordinates of all 10 atoms:
Rb: 0.2500 0.7500 0.5000
Rb: 0.7500 0.2500 0.5000
Cd: 0.0000 0.0000 0.0000
Ag: 0.5000 0.5000 0.0000
H: 0.2012 0.2012 0.0000
H: 0.2781 0.2781 0.5562
H: 0.2781 0.7219 0.0000
H: 0.7219 0.2781 0.0000
H: 0.7219 0.7219 0.4438
H: 0.7988 0.7988 0.0000

=====

# 11
# Nd8Se3S3N
Theoretical powder diffraction line list, Cu Kα X-rays. Input: a structure optimized by DFT (GGA-PBE).
No peak broadening, texture or thermal motion is included.

Most intense lines, 15 to 90 degrees two-theta, in order of rising 2θ:
26.21 deg, 3.400 Å, intensity 12
26.71 deg, 3.337 Å, intensity 40
30.79 deg, 2.904 Å, intensity 100
33.56 deg, 2.670 Å, intensity 10
43.79 deg, 2.068 Å, intensity 31
44.43 deg, 2.039 Å, intensity 35
55.03 deg, 1.669 Å, intensity 16
64.15 deg, 1.452 Å, intensity 9
72.37 deg, 1.306 Å, intensity 9
73.31 deg, 1.291 Å, intensity 12

Atomic structure:
a b c (Å): 8.2718 8.2718 8.2718
angles (deg): 59.08 59.08 59.08
Fractional coordinates of all 15 atoms:
Nd: 0.2431 0.2431 0.2431
Nd: 0.2691 0.7219 0.7219
Nd: 0.2781 0.2781 0.7309
Nd: 0.2781 0.7309 0.2781
Nd: 0.7219 0.2691 0.7219
Nd: 0.7219 0.7219 0.2691
Nd: 0.7309 0.2781 0.2781
Nd: 0.7569 0.7569 0.7569
Se: 0.0000 0.5000 0.5000
Se: 0.5000 0.0000 0.5000
Se: 0.5000 0.5000 0.0000
S: 0.0000 0.0000 0.5000
S: 0.0000 0.5000 0.0000
S: 0.5000 0.0000 0.0000
N: 0.5000 0.5000 0.5000

=====

# 12
# LaMgOs2
Theoretical powder diffraction line list, Cu Kα X-rays. Input: a structure optimized by DFT (GGA-PBE).
No peak broadening, texture or thermal motion is included.

Most intense lines, 15 to 90 degrees two-theta, in order of rising 2θ:
19.73 deg, 4.499 Å, intensity 15
36.36 deg, 2.471 Å, intensity 100
42.96 deg, 2.105 Å, intensity 33
43.28 deg, 2.090 Å, intensity 39
44.49 deg, 2.036 Å, intensity 15
51.02 deg, 1.790 Å, intensity 11
60.46 deg, 1.531 Å, intensity 11
62.87 deg, 1.478 Å, intensity 13
74.85 deg, 1.268 Å, intensity 25
79.17 deg, 1.210 Å, intensity 11

Atomic structure:
a b c (Å): 2.9563 2.9563 8.9976
angles (deg): 90.00 90.00 90.00
Fractional coordinates of all 4 atoms:
La: 0.0000 0.0000 0.0000
Mg: 0.5000 0.5000 0.3408
Os: 0.0000 0.0000 0.5580
Os: 0.5000 0.5000 0.7297